# 1
Mg6AlSn: calculated powder X-ray diffraction pattern (Cu Kα (λ = 1.5418 Å)), based on a DFT-relaxed cell (PBE, the Materials Project).
Kinematic intensities with the Lorentz-polarization factor, no thermal factor.

Cell lengths 5.2044, 6.3580, 10.7549 Å; angles 90.00, 90.00, 90.00 degrees
Space group Amm2 (No. 38)
Inequivalent atoms, fractional coordinates:
Mg: 0.0000 0.0000 0.0000 x2
Mg: 0.0000 0.0000 0.4969 x2
Mg: 0.0000 0.2446 0.2474 x4
Mg: 0.5000 0.2503 0.4147 x4
Al: 0.5000 0.0000 0.1639 x2
Sn: 0.5000 0.0000 0.6645 x2

Principal peaks in the range 10° ≤ 2θ ≤ 90°, by angle:
d [Å], Position (°2θ), I_rel, index
5.473, 16.2, 43.3, 0 1 1
5.377, 16.5, 24.1, 0 0 2
5.204, 17.0, 22.1, 1 0 0
3.771, 23.6, 40.5, 1 1 1
3.740, 23.8, 20.2, 1 0 2
2.737, 32.7, 29.8, 0 2 2
2.602, 34.5, 39.6, 2 0 0
2.422, 37.1, 100.0, 1 2 2
2.389, 37.7, 48.2, 1 0 4
1.465, 63.5, 20.4, 3 2 2



# 2
Mg6AlSn: calculated powder X-ray diffraction pattern (Cu Kα (λ = 1.5418 Å)), based on a DFT-relaxed cell (PBE, the Materials Project).
Kinematic intensities with the Lorentz-polarization factor, no thermal factor.

Cell lengths 5.3082, 6.2112, 10.8205 Å; angles 90.00, 90.00, 90.00 degrees
Space group Amm2 (No. 38)
Inequivalent atoms, fractional coordinates:
Mg: 0.0000 0.0000 0.0000 x2
Mg: 0.0000 0.2476 0.7480 x4
Mg: 0.5000 0.0000 0.1655 x2
Mg: 0.5000 0.2492 0.9165 x4
Al: 0.5000 0.0000 0.6678 x2
Sn: 0.0000 0.0000 0.5003 x2

Principal peaks in the range 10° ≤ 2θ ≤ 90°, by angle:
d [Å], Position (°2θ), I_rel, index
5.394, 16.4, 70.4, 0 1 1
5.308, 16.7, 21.7, 1 0 0
3.784, 23.5, 62.5, 1 0 2
2.692, 33.3, 46.8, 0 2 2
2.654, 33.8, 42.8, 2 0 0
2.410, 37.3, 50.3, 1 0 4
2.402, 37.4, 100.0, 1 2 2
1.890, 48.1, 20.3, 2 2 2
1.479, 62.8, 32.4, 3 2 2
1.345, 70.0, 20.0, 2 2 6



# 3
Mg14AlSn: calculated powder X-ray diffraction pattern (Cu Kα (λ = 1.5418 Å)), based on a DFT-relaxed cell (PBE, the Materials Project).
Kinematic intensities with the Lorentz-polarization factor, no thermal factor.

Cell lengths 6.3255, 6.3255, 10.3685 Å; angles 90.00, 90.00, 120.00 degrees
Space group P-6m2 (No. 187)
Inequivalent atoms, fractional coordinates:
Mg: 0.0000 0.0000 0.2492 x2
Mg: 0.0002 0.5001 0.2468 x6
Mg: 0.3335 0.1667 0.0000 x3
Mg: 0.3331 0.1666 0.5000 x3
Al: 0.3333 0.6667 0.0000 x1
Sn: 0.3333 0.6667 0.5000 x1

Principal peaks in the range 10° ≤ 2θ ≤ 90°, by angle:
d [Å], Position (°2θ), I_rel, index
5.478, 16.2, 18.0, 1 0 0
4.844, 18.3, 24.8, 1 0 1
3.765, 23.6, 15.0, 1 0 2
2.739, 32.7, 25.9, 2 0 0
2.592, 34.6, 26.7, 0 0 4
2.422, 37.1, 100.0, 2 0 2
1.883, 48.3, 17.0, 2 0 4
1.581, 58.4, 17.1, 2 2 0
1.462, 63.7, 19.7, 2 0 6
1.350, 69.6, 19.7, 2 2 4



# 4
SrMg14Al: calculated powder X-ray diffraction pattern (Cu Kα (λ = 1.5418 Å)), based on a DFT-relaxed cell (PBE, the Materials Project).
Kinematic intensities with the Lorentz-polarization factor, no thermal factor.

Cell lengths 6.4999, 6.4999, 10.6223 Å; angles 90.00, 90.00, 120.00 degrees
Space group P-6m2 (No. 187)
Inequivalent atoms, fractional coordinates:
Sr: 0.0000 0.0000 0.0000 x1
Mg: 0.0113 0.5057 0.0000 x3
Mg: 0.1678 0.3356 0.2639 x6
Mg: 0.5027 0.0055 0.5000 x3
Mg: 0.6667 0.3333 0.2437 x2
Al: 0.0000 0.0000 0.5000 x1

Principal peaks in the range 10° ≤ 2θ ≤ 90°, by angle:
d [Å], Position (°2θ), I_rel, index
5.629, 15.7, 8.9, 1 0 0
4.974, 17.8, 11.0, 1 0 1
2.815, 31.8, 25.1, 2 0 0
2.656, 33.8, 25.9, 0 0 4
2.487, 36.1, 100.0, 2 0 2
1.932, 47.0, 15.9, 2 0 4
1.625, 56.6, 17.3, 2 2 0
1.499, 61.9, 19.2, 2 0 6
1.386, 67.6, 19.0, 2 2 4
1.360, 69.0, 14.6, 4 0 2